1.
This entry pairs a crystal structure of LiSbTe3O12 with its simulated powder XRD pattern. Radiation: Cu Kα. Structure: a cell relaxed with PBE.

Peak list (8 most intense, 2θ from 10° to 90°, low angle first)
- (0 1 1), 2θ = 19.87°, intensity 46
- (1 1 0), 2θ = 20.76°, intensity 100
- (1 2 -1), 2θ = 32.49°, intensity 32
- (1 2 1), 2θ = 32.65°, intensity 32
- (0 3 1), 2θ = 36.01°, intensity 19
- (1 1 -2), 2θ = 40.15°, intensity 14
- (1 1 2), 2θ = 40.41°, intensity 18
- (2 3 -1), 2θ = 51.93°, intensity 14

Structural model:
Cell: 4.952 8.503 5.254 Å, 90.00 90.47 90.00°
Atoms (fractional coordinates):
Li 0.000 0.000 0.000
Sb 0.500 0.100 0.500
Te 0.000 0.597 0.000
Te 0.000 0.782 0.500
Te 0.500 0.286 0.000
O 0.204 0.772 0.822
O 0.207 0.616 0.318
O 0.238 0.940 0.357
O 0.253 0.447 0.861
O 0.284 0.121 0.822
O 0.290 0.268 0.305
O 0.710 0.268 0.695
O 0.716 0.121 0.178
O 0.747 0.447 0.139
O 0.762 0.940 0.643
O 0.793 0.616 0.682
O 0.796 0.772 0.178

***

2.
This entry pairs a crystal structure of LiSbTe3O12 with its simulated powder XRD pattern. Radiation: Cu Kα. Structure: a cell relaxed with PBE.

Peak list (8 most intense, 2θ from 10° to 90°, low angle first)
- (1 1 0), 2θ = 24.11°, intensity 100
- (0 2 0), 2θ = 33.63°, intensity 35
- (1 1 -2), 2θ = 35.07°, intensity 23
- (2 0 2), 2θ = 42.99°, intensity 10
- (2 2 0), 2θ = 49.38°, intensity 16
- (2 2 2), 2θ = 54.64°, intensity 13
- (-2 2 2), 2θ = 54.73°, intensity 13
- (3 1 0), 2θ = 56.64°, intensity 14

Structural model:
Cell: 5.118 5.335 7.401 Å, 86.59 89.85 89.99°
Atoms (fractional coordinates):
Li 0.000 0.000 0.000
Sb 0.498 0.921 0.217
Te 0.496 0.918 0.708
Te 0.997 0.424 0.706
Te 0.999 0.425 0.213
O 0.122 0.404 0.956
O 0.167 0.102 0.259
O 0.180 0.736 0.642
O 0.309 0.233 0.640
O 0.313 0.596 0.273
O 0.369 0.916 0.955
O 0.631 0.920 0.468
O 0.686 0.606 0.778
O 0.700 0.230 0.139
O 0.812 0.105 0.775
O 0.818 0.733 0.143
O 0.860 0.419 0.461

***

3.
This entry pairs a crystal structure of LiSbTe3O12 with its simulated powder XRD pattern. Radiation: Cu Kα. Structure: a cell relaxed with PBE.

Peak list (8 most intense, 2θ from 10° to 90°, low angle first)
- (0 1 1), 2θ = 19.88°, intensity 47
- (1 1 0), 2θ = 20.87°, intensity 100
- (1 2 -1), 2θ = 32.51°, intensity 34
- (1 2 1), 2θ = 32.71°, intensity 32
- (0 3 1), 2θ = 35.85°, intensity 20
- (1 1 -2), 2θ = 40.30°, intensity 17
- (1 1 2), 2θ = 40.59°, intensity 16
- (2 3 -1), 2θ = 52.06°, intensity 14

Structural model:
Cell: 4.907 8.556 5.237 Å, 90.00 90.56 90.00°
Atoms (fractional coordinates):
Li 0.000 0.000 0.000
Sb 0.000 0.384 0.000
Te 0.000 0.205 0.500
Te 0.500 0.691 0.000
Te 0.500 0.884 0.500
O 0.203 0.201 0.818
O 0.217 0.362 0.323
O 0.242 0.035 0.357
O 0.253 0.542 0.856
O 0.287 0.863 0.817
O 0.288 0.720 0.313
O 0.712 0.720 0.687
O 0.713 0.863 0.183
O 0.747 0.542 0.144
O 0.758 0.035 0.643
O 0.783 0.362 0.677
O 0.797 0.201 0.182

***

4.
This entry pairs a crystal structure of LiSbTe3O12 with its simulated powder XRD pattern. Radiation: Cu Kα. Structure: a cell relaxed with PBE.

Peak list (8 most intense, 2θ from 10° to 90°, low angle first)
- (1 1 0), 2θ = 24.08°, intensity 100
- (-1 1 2), 2θ = 33.58°, intensity 35
- (1 1 -2), 2θ = 35.02°, intensity 23
- (2 0 2), 2θ = 42.95°, intensity 15
- (2 2 0), 2θ = 49.31°, intensity 16
- (-2 2 2), 2θ = 54.61°, intensity 25
- (2 2 -2), 2θ = 56.55°, intensity 11
- (2 0 4), 2θ = 61.88°, intensity 9

Structural model:
Cell: 5.118 5.350 7.409 Å, 86.70 90.00 89.97°
Atoms (fractional coordinates):
Li 0.000 0.000 0.000
Sb 0.997 0.566 0.778
Te 0.497 0.070 0.778
Te 0.500 0.067 0.287
Te 0.999 0.562 0.287
O 0.132 0.567 0.527
O 0.187 0.251 0.850
O 0.188 0.880 0.219
O 0.305 0.772 0.853
O 0.307 0.372 0.214
O 0.365 0.064 0.531
O 0.628 0.074 0.036
O 0.670 0.385 0.721
O 0.687 0.755 0.353
O 0.814 0.249 0.349
O 0.819 0.898 0.735
O 0.879 0.586 0.040

***

5.
This entry pairs a crystal structure of Li2Ti2Sb2O with its simulated powder XRD pattern. Radiation: Cu Kα. Structure: a cell relaxed with PBE.

Peak list (8 most intense, 2θ from 10° to 90°, low angle first)
- (1 0 1), 2θ = 22.55°, intensity 65
- (1 0 3), 2θ = 28.30°, intensity 100
- (1 1 0), 2θ = 30.93°, intensity 25
- (1 1 2), 2θ = 33.25°, intensity 22
- (1 1 4), 2θ = 39.50°, intensity 82
- (2 0 0), 2θ = 44.31°, intensity 40
- (1 0 7), 2θ = 48.32°, intensity 25
- (2 1 3), 2θ = 53.41°, intensity 32

Structural model:
Cell: 4.089 4.089 14.859 Å, 90.00 90.00 90.00°
Atoms (fractional coordinates):
Li 0.000 0.000 0.171
Li 0.000 0.000 0.829
Li 0.500 0.500 0.329
Li 0.500 0.500 0.671
Ti 0.000 0.500 0.000
Ti 0.000 0.500 0.500
Ti 0.500 0.000 0.000
Ti 0.500 0.000 0.500
Sb 0.000 0.000 0.361
Sb 0.000 0.000 0.639
Sb 0.500 0.500 0.139
Sb 0.500 0.500 0.861
O 0.000 0.000 0.000
O 0.500 0.500 0.500

***

6.
This entry pairs a crystal structure of LiZnSb4O8 with its simulated powder XRD pattern. Radiation: Cu Kα. Structure: a cell relaxed with PBE.

Peak list (8 most intense, 2θ from 10° to 90°, low angle first)
- (0 1 1), 2θ = 19.89°, intensity 25
- (0 1 -2), 2θ = 20.64°, intensity 62
- (0 2 -2), 2θ = 27.19°, intensity 52
- (1 1 0), 2θ = 30.92°, intensity 100
- (0 2 1), 2θ = 32.22°, intensity 39
- (0 0 3), 2θ = 32.62°, intensity 25
- (1 -1 2), 2θ = 36.68°, intensity 44
- (1 1 -3), 2θ = 36.91°, intensity 43

Structural model:
Cell: 3.387 7.277 9.031 Å, 111.57 100.43 90.18°
Atoms (fractional coordinates):
Li 0.000 0.000 0.000
Zn 0.829 0.001 0.682
Sb 0.128 0.745 0.290
Sb 0.338 0.584 0.707
Sb 0.470 0.333 0.963
Sb 0.682 0.189 0.351
O 0.030 0.291 0.091
O 0.094 0.975 0.213
O 0.248 0.324 0.518
O 0.398 0.017 0.826
O 0.551 0.644 0.125
O 0.717 0.974 0.451
O 0.795 0.677 0.615
O 0.895 0.348 0.814

***

7.
This entry pairs a crystal structure of LiZnSb4O8 with its simulated powder XRD pattern. Radiation: Cu Kα. Structure: a cell relaxed with PBE.

Peak list (8 most intense, 2θ from 10° to 90°, low angle first)
- (0 1 -1), 2θ = 18.80°, intensity 100
- (0 2 0), 2θ = 27.88°, intensity 62
- (0 1 3), 2θ = 29.00°, intensity 59
- (0 2 2), 2θ = 29.74°, intensity 34
- (1 0 2), 2θ = 31.55°, intensity 68
- (-1 1 1), 2θ = 32.00°, intensity 42
- (1 1 -1), 2θ = 32.16°, intensity 54
- (2 0 1), 2θ = 54.32°, intensity 26

Structural model:
Cell: 3.417 6.653 9.536 Å, 74.90 84.11 83.69°
Atoms (fractional coordinates):
Li 0.000 0.000 0.000
Zn 0.867 0.574 0.551
Sb 0.061 0.009 0.308
Sb 0.279 0.502 0.846
Sb 0.433 0.103 0.624
Sb 0.568 0.612 0.184
O 0.051 0.691 0.341
O 0.130 0.664 0.030
O 0.382 0.425 0.636
O 0.506 0.935 0.454
O 0.522 0.924 0.138
O 0.830 0.691 0.739
O 0.863 0.301 0.920
O 0.940 0.212 0.507

***

8.
This entry pairs a crystal structure of LiZnSb4O8 with its simulated powder XRD pattern. Radiation: Cu Kα. Structure: a cell relaxed with PBE.

Peak list (8 most intense, 2θ from 10° to 90°, low angle first)
- (0 1 -1), 2θ = 19.56°, intensity 83
- (0 1 2), 2θ = 21.57°, intensity 61
- (0 0 2), 2θ = 22.96°, intensity 37
- (0 2 0), 2θ = 24.32°, intensity 73
- (1 1 0), 2θ = 29.42°, intensity 47
- (1 1 2), 2θ = 30.39°, intensity 83
- (1 -2 0), 2θ = 34.15°, intensity 63
- (1 -1 2), 2θ = 35.38°, intensity 100

Structural model:
Cell: 3.553 7.893 8.538 Å, 68.52 78.03 89.94°
Atoms (fractional coordinates):
Li 0.000 0.000 0.000
Zn 0.023 0.641 0.057
Sb 0.372 0.670 0.372
Sb 0.446 0.246 0.683
Sb 0.487 0.280 0.118
Sb 0.810 0.830 0.686
O 0.047 0.403 0.998
O 0.133 0.867 0.847
O 0.302 0.843 0.498
O 0.463 0.531 0.169
O 0.578 0.163 0.922
O 0.754 0.499 0.518
O 0.814 0.104 0.580
O 0.906 0.797 0.226

***

9.
This entry pairs a crystal structure of LiZnSb4O8 with its simulated powder XRD pattern. Radiation: Cu Kα. Structure: a cell relaxed with PBE.

Peak list (8 most intense, 2θ from 10° to 90°, low angle first)
- (0 1 0), 2θ = 12.01°, intensity 100
- (0 1 -1), 2θ = 12.63°, intensity 25
- (0 1 1), 2θ = 17.66°, intensity 59
- (0 2 0), 2θ = 24.15°, intensity 32
- (0 0 3), 2θ = 28.83°, intensity 26
- (1 0 -2), 2θ = 30.20°, intensity 35
- (1 1 1), 2θ = 34.89°, intensity 43
- (1 0 2), 2θ = 35.25°, intensity 28

Structural model:
Cell: 3.442 7.868 9.904 Å, 108.19 96.27 97.13°
Atoms (fractional coordinates):
Li 0.000 0.000 0.000
Zn 0.436 0.785 0.081
Sb 0.021 0.516 0.786
Sb 0.023 0.858 0.356
Sb 0.600 0.839 0.663
Sb 0.634 0.393 0.106
O 0.039 0.743 0.542
O 0.086 0.246 0.009
O 0.187 0.784 0.888
O 0.401 0.677 0.248
O 0.539 0.579 0.674
O 0.582 0.981 0.474
O 0.635 0.532 0.966
O 0.980 0.934 0.174

***

10.
This entry pairs a crystal structure of LiZnSb4O8 with its simulated powder XRD pattern. Radiation: Cu Kα. Structure: a cell relaxed with PBE.

Peak list (8 most intense, 2θ from 10° to 90°, low angle first)
- (0 1 1), 2θ = 18.78°, intensity 100
- (0 1 -2), 2θ = 21.03°, intensity 31
- (0 2 0), 2θ = 23.80°, intensity 40
- (0 2 -2), 2θ = 26.24°, intensity 34
- (1 1 -2), 2θ = 31.17°, intensity 50
- (0 0 3), 2θ = 33.28°, intensity 28
- (-1 1 2), 2θ = 34.97°, intensity 33
- (1 1 1), 2θ = 35.26°, intensity 38

Structural model:
Cell: 3.465 7.986 8.760 Å, 109.76 100.28 91.88°
Atoms (fractional coordinates):
Li 0.000 0.000 0.000
Zn 0.875 0.749 0.309
Sb 0.194 0.633 0.932
Sb 0.423 0.129 0.340
Sb 0.532 0.780 0.630
Sb 0.585 0.281 0.974
O 0.081 0.920 0.773
O 0.118 0.367 0.849
O 0.287 0.237 0.143
O 0.423 0.884 0.396
O 0.589 0.614 0.771
O 0.708 0.556 0.087
O 0.853 0.000 0.213
O 0.946 0.646 0.495

***

11.
This entry pairs a crystal structure of LiScSi2O6 with its simulated powder XRD pattern. Radiation: Cu Kα. Structure: a cell relaxed with PBE.

Peak list (8 most intense, 2θ from 10° to 90°, low angle first)
- (1 1 0), 2θ = 13.64°, intensity 24
- (0 1 1), 2θ = 19.43°, intensity 22
- (0 2 0), 2θ = 19.59°, intensity 30
- (2 1 -1), 2θ = 24.84°, intensity 38
- (1 2 1), 2θ = 28.81°, intensity 100
- (3 1 0), 2θ = 30.45°, intensity 60
- (2 0 -2), 2θ = 35.53°, intensity 28
- (4 3 1), 2θ = 55.31°, intensity 25

Structural model:
Cell: 9.500 9.062 5.399 Å, 90.00 101.54 90.00°
Atoms (fractional coordinates):
Li 0.247 0.000 0.008
Li 0.247 0.500 0.508
Li 0.753 0.000 0.992
Li 0.753 0.500 0.492
Sc 0.251 0.142 0.510
Sc 0.251 0.358 0.010
Sc 0.749 0.642 0.990
Sc 0.749 0.858 0.490
Si 0.049 0.664 0.761
Si 0.049 0.836 0.261
Si 0.452 0.664 0.221
Si 0.452 0.836 0.721
Si 0.548 0.164 0.279
Si 0.548 0.336 0.779
Si 0.951 0.164 0.739
Si 0.951 0.336 0.239
O 0.106 0.738 0.519
O 0.106 0.762 0.019
O 0.121 0.502 0.791
O 0.121 0.998 0.291
O 0.128 0.167 0.796
O 0.128 0.333 0.296
O 0.370 0.164 0.221
O 0.370 0.336 0.721
O 0.375 0.505 0.235
O 0.375 0.995 0.735
O 0.400 0.730 0.933
O 0.400 0.770 0.433
O 0.600 0.230 0.567
O 0.600 0.270 0.067
O 0.625 0.005 0.265
O 0.625 0.495 0.765
O 0.630 0.664 0.279
O 0.630 0.836 0.779
O 0.872 0.667 0.704
O 0.872 0.833 0.204
O 0.879 0.002 0.709
O 0.879 0.498 0.209
O 0.894 0.238 0.981
O 0.894 0.262 0.481